Tc2Ru5Rh: simulated powder diffractogram (CuKα), based on a PBE-relaxed structure.
Lines closer than 0.1° are merged.

a = 5.429 Å, b = 5.429 Å, c = 5.429 Å
α = 119.89°, β = 119.89°, γ = 90.18°
Positions (direct):
Tc1 0.000 0.500 0.500
Tc2 0.500 0.000 0.500
Ru1 0.484 0.484 0.500
Ru2 0.484 0.984 0.000
Ru3 0.490 0.490 0.000
Ru4 0.984 0.484 0.000
Ru5 0.984 0.984 0.500
Rh1 0.990 0.990 0.000

The 10 most intense peaks (10° ≤ 2θ ≤ 90°), most intense first:
2theta  I (rel.)
40.7  100
47.3  32
83.4  24
69.2  20
47.4  16
83.6  11
88.1  10
69.1  10
59.0  1
23.2  1

=====

PaTaSe3: simulated powder diffractogram (CuKα), based on a PBE-relaxed structure.
Lines closer than 0.1° are merged.

a = 7.528 Å, b = 7.528 Å, c = 8.386 Å
α = 90.98°, β = 90.98°, γ = 28.52°
Positions (direct):
Pa1 0.104 0.104 0.406
Pa2 0.896 0.896 0.594
Ta1 0.293 0.293 0.111
Ta2 0.707 0.707 0.889
Se1 0.117 0.117 0.045
Se2 0.249 0.249 0.668
Se3 0.449 0.449 0.325
Se4 0.551 0.551 0.675
Se5 0.751 0.751 0.332
Se6 0.883 0.883 0.955

The 10 most intense peaks (10° ≤ 2θ ≤ 90°), most intense first:
2theta  I (rel.)
39.3  100
32.1  99
37.1  98
32.8  92
27.0  81
37.5  75
16.2  72
24.7  56
41.0  56
38.7  53

=====

Pr4Te5Br2: simulated powder diffractogram (CuKα), based on a PBE-relaxed structure.
Lines closer than 0.1° are merged.

a = 9.356 Å, b = 9.356 Å, c = 11.111 Å
α = 103.28°, β = 103.28°, γ = 28.62°
Positions (direct):
Pr1 0.024 0.024 0.309
Pr2 0.306 0.306 0.867
Pr3 0.694 0.694 0.133
Pr4 0.976 0.976 0.691
Te1 0.142 0.142 0.914
Te2 0.197 0.197 0.329
Te3 0.500 0.500 0.500
Te4 0.803 0.803 0.671
Te5 0.858 0.858 0.086
Br1 0.471 0.471 0.850
Br2 0.529 0.529 0.150

The 10 most intense peaks (10° ≤ 2θ ≤ 90°), most intense first:
2theta  I (rel.)
25.1  100
32.9  67
14.4  53
36.7  45
38.9  39
29.6  27
19.9  24
41.9  24
30.4  21
26.6  20

=====

SrMgTe2O8: simulated powder diffractogram (CuKα), based on a PBE-relaxed structure.
Lines closer than 0.1° are merged.

a = 5.766 Å, b = 5.766 Å, c = 7.062 Å
α = 90.00°, β = 90.00°, γ = 120.00°
Positions (direct):
Sr1 0.000 0.000 0.000
Mg1 0.000 0.000 0.500
Te1 0.333 0.667 0.768
Te2 0.667 0.333 0.232
O1 0.143 0.314 0.695
O2 0.171 0.857 0.695
O3 0.314 0.171 0.305
O4 0.333 0.667 0.028
O5 0.667 0.333 0.972
O6 0.686 0.829 0.695
O7 0.829 0.143 0.305
O8 0.857 0.686 0.305

The 10 most intense peaks (10° ≤ 2θ ≤ 90°), most intense first:
2theta  I (rel.)
21.8  100
31.0  80
55.2  25
50.0  23
44.4  20
42.5  20
61.6  13
64.7  12
63.1  12
33.6  11

=====

HoTmHf: simulated powder diffractogram (CuKα), based on a PBE-relaxed structure.
Lines closer than 0.1° are merged.

a = 3.363 Å, b = 4.691 Å, c = 10.335 Å
α = 90.00°, β = 90.00°, γ = 90.00°
Positions (direct):
Ho1 0.250 0.250 0.090
Ho2 0.750 0.750 0.910
Tm1 0.250 0.250 0.731
Tm2 0.750 0.750 0.269
Hf1 0.250 0.250 0.430
Hf2 0.750 0.750 0.570

The 10 most intense peaks (10° ≤ 2θ ≤ 90°), most intense first:
2theta  I (rel.)
32.8  100
32.2  97
37.4  66
54.6  56
38.4  33
64.8  26
63.9  22
65.9  14
65.6  13
68.7  12

=====

SrNi4Sn12: simulated powder diffractogram (CuKα), based on a PBE-relaxed structure.
Lines closer than 0.1° are merged.

a = 8.052 Å, b = 8.052 Å, c = 8.052 Å
α = 109.47°, β = 109.47°, γ = 109.47°
Positions (direct):
Sr1 0.000 0.000 0.000
Ni1 0.000 0.000 0.500
Ni2 0.000 0.500 0.000
Ni3 0.500 0.000 0.000
Ni4 0.500 0.500 0.500
Sn1 0.169 0.338 0.831
Sn2 0.169 0.506 0.338
Sn3 0.169 0.831 0.662
Sn4 0.338 0.169 0.506
Sn5 0.338 0.831 0.169
Sn6 0.494 0.662 0.831
Sn7 0.506 0.338 0.169
Sn8 0.662 0.169 0.831
Sn9 0.662 0.831 0.494
Sn10 0.831 0.169 0.338
Sn11 0.831 0.494 0.662
Sn12 0.831 0.662 0.169

The 10 most intense peaks (10° ≤ 2θ ≤ 90°), most intense first:
2theta  I (rel.)
30.4  100
36.1  45
47.9  22
50.0  21
68.4  21
57.8  18
43.5  17
89.4  17
59.7  11
87.8  10